Entry 1:
For In6Ga, a GGA-PBE-relaxed structure gives the theoretical powder X-ray diffraction pattern in this record (Cu Kα (λ = 1.5418 Å)).

Cell and atoms:
```
In6Ga
1.0
9.0599 0.0000 0.0000
0.0000 5.4395 0.0000
-3.5465 0.0000 7.4556
In Ga
12 2
Cartesian
-0.1014 0.0000 1.6181
-1.9946 2.7198 6.8356
-0.3519 0.0000 4.7717
1.3354 2.7198 2.6838
2.9781 0.0000 0.6200
1.0849 2.7198 5.8374
4.4286 2.7198 1.6181
2.5354 0.0000 6.8356
4.1781 2.7198 4.7717
5.8654 0.0000 2.6838
7.5080 2.7198 0.6200
5.6149 0.0000 5.8374
-1.7732 2.7198 3.7278
2.7567 0.0000 3.7278
```

The 6 most intense peaks (2θ = 10–90°), in order of falling intensity:
2theta, I_rel
34.02, 100
34.61, 94
32.93, 55
33.18, 53
47.45, 38
59.47, 38

---

Entry 2:
For InGa4, a GGA-PBE-relaxed structure gives the theoretical powder X-ray diffraction pattern in this record (Cu Kα (λ = 1.5418 Å)).

Cell and atoms:
```
InGa4
1.0
0.0000 2.3792 10.6819
2.0287 0.0000 10.6819
2.0287 2.3792 0.0000
In Ga
1 4
Cartesian
0.0000 0.0000 0.0000
2.0287 2.3792 4.3440
2.0287 2.3792 8.3254
2.0287 2.3792 13.0384
2.0287 2.3792 17.0198
```

The 6 most intense peaks (2θ = 10–90°), in order of falling intensity:
2theta, I_rel
35.89, 100
37.81, 23
67.03, 15
44.67, 14
42.31, 14
59.92, 11

---

Entry 3:
For In5Ga2, a GGA-PBE-relaxed structure gives the theoretical powder X-ray diffraction pattern in this record (Cu Kα (λ = 1.5418 Å)).

Cell and atoms:
```
In5Ga2
1.0
4.8519 0.0000 0.0000
-2.0989 4.6068 0.0000
-1.8454 -1.8435 7.8965
In Ga
5 2
Cartesian
0.0000 0.0000 0.0000
0.2849 -0.1090 3.3109
0.3307 2.9836 1.1961
0.5768 -0.2203 6.7005
0.6227 2.8723 4.5856
-1.8273 1.2949 5.5495
2.7349 1.4684 2.3470
```

The 6 most intense peaks (2θ = 10–90°), in order of falling intensity:
2theta, I_rel
33.45, 100
32.53, 53
34.42, 46
35.83, 42
37.31, 37
46.86, 19

---

Entry 4:
For InGaIr3, a GGA-PBE-relaxed structure gives the theoretical powder X-ray diffraction pattern in this record (Cu Kα (λ = 1.5418 Å)).

Cell and atoms:
```
InGaIr3
1.0
4.5613 0.0000 0.0000
0.0000 4.5613 0.0000
0.0000 0.0000 4.5613
In Ga Ir
1 1 3
Cartesian
0.0000 0.0000 0.0000
2.2806 2.2806 2.2806
0.0000 2.2806 2.2806
2.2806 0.0000 2.2806
2.2806 2.2806 0.0000
```

The 6 most intense peaks (2θ = 10–90°), in order of falling intensity:
2theta, I_rel
34.04, 100
39.51, 77
57.12, 53
68.19, 41
71.67, 18
19.46, 17